The following is a simulated powder diffraction line list of Li3Mn5Cr2O12. It was derived from the GGA+U geometry in Alexandria, using Cu Ka.
Neutral-atom scattering factors, no anomalous dispersion.

Crystal structure
a b c (Å): 5.1900 5.1900 10.0969
angles (deg): 95.95 95.95 121.64
Fractional positions:
Li 0.0000 0.0000 0.0000
Li 0.4037 0.0965 0.2339
Li 0.9035 0.5963 0.7661
Mn 0.0846 0.4129 0.2410
Mn 0.1501 0.8499 0.5000
Mn 0.4893 0.5107 0.5000
Mn 0.5871 0.9154 0.7590
Mn 0.6551 0.3449 0.0000
Cr 0.3355 0.6645 0.0000
Cr 0.8228 0.1772 0.5000
O 0.0464 0.6810 0.1141
O 0.1206 0.1575 0.3858
O 0.2117 0.5671 0.6111
O 0.3190 0.9536 0.8859
O 0.3721 0.3758 0.1064
O 0.4329 0.7883 0.3889
O 0.5323 0.2131 0.6033
O 0.6242 0.6279 0.8936
O 0.6881 0.0766 0.1148
O 0.7869 0.4677 0.3967
O 0.8425 0.8794 0.6142
O 0.9234 0.3119 0.8852

Top 10 peaks for 10° ≤ 2θ ≤ 90°, by intensity:
Position (°2θ)	I/Imax
42.07	100.0
17.98	57.9
44.33	44.7
23.89	35.0
37.02	29.3
62.35	25.3
63.18	25.0
19.59	22.7
20.76	18.6
78.83	16.5